No. 1
This entry pairs a crystal structure of Nd3Fe2Ge4 with its theoretical X-ray powder pattern. Radiation: Cu Kα (λ = 1.5418 Å). Structure: a cell relaxed with PBE.

Structural model:
```
9
Lattice="5.5347 -2.1261 0.0000 5.5347 2.1261 0.0000 -2.5033 0.0000 7.8341" Properties=species:S:1:pos:R:3 pbc="T T T"
Nd 0.0000 0.0000 0.0000
Nd 3.4616 0.0000 2.4007
Nd 5.1045 0.0000 5.4334
Fe 1.8131 0.0000 4.9606
Fe 6.7530 0.0000 2.8735
Ge 0.2182 0.0000 3.1363
Ge 0.9012 0.0000 7.1665
Ge 7.6650 0.0000 0.6676
Ge 8.3480 0.0000 4.6978
```

Most intense lines, 2θ = 10–80°, low angle first:
- 2θ 24.08, d 3.695, I = 26
- 2θ 32.34, d 2.769, I = 100
- 2θ 33.07, d 2.709, I = 57
- 2θ 33.33, d 2.688, I = 35
- 2θ 34.04, d 2.633, I = 87
- 2θ 34.34, d 2.611, I = 36
- 2θ 39.21, d 2.297, I = 41
- 2θ 42.05, d 2.149, I = 38
- 2θ 42.52, d 2.126, I = 51
- 2θ 55.75, d 1.649, I = 18
- 2θ 59.23, d 1.560, I = 18
- 2θ 62.90, d 1.478, I = 21



No. 2
This entry pairs a crystal structure of Nb3Co2Si with its theoretical X-ray powder pattern. Radiation: Cu Kα (λ = 1.5418 Å). Structure: a cell relaxed with PBE.

Structural model:
```
24
Lattice="0.0000 5.5911 5.5911 5.5911 0.0000 5.5911 5.5911 5.5911 0.0000" Properties=species:S:1:pos:R:3 pbc="T T T"
Nb 4.1933 4.1933 0.8537
Nb 4.1933 0.8537 4.1933
Nb 7.5329 4.1933 4.1933
Nb 6.9888 6.9888 3.6492
Nb 6.9888 3.6492 6.9888
Nb 10.3284 6.9888 6.9888
Nb 0.8537 4.1933 4.1933
Nb 4.1933 7.5329 4.1933
Nb 4.1933 4.1933 7.5329
Nb 3.6492 6.9888 6.9888
Nb 6.9888 10.3284 6.9888
Nb 6.9888 6.9888 10.3284
Co 3.2676 3.2676 3.2676
Co 5.1190 5.1190 3.2676
Co 5.1190 3.2676 5.1190
Co 7.9145 6.0631 6.0631
Co 3.2676 5.1190 5.1190
Co 6.0631 7.9145 6.0631
Co 6.0631 6.0631 7.9145
Co 7.9145 7.9145 7.9145
Si 5.5911 2.7955 2.7955
Si 2.7955 5.5911 2.7955
Si 2.7955 2.7955 5.5911
Si 5.5911 5.5911 5.5911
```

Most intense lines, 2θ = 10–80°, low angle first:
- 2θ 27.63, d 3.228, I = 5
- 2θ 32.02, d 2.796, I = 18
- 2θ 34.98, d 2.565, I = 10
- 2θ 39.48, d 2.283, I = 43
- 2θ 41.98, d 2.152, I = 100
- 2θ 45.91, d 1.977, I = 34
- 2θ 48.87, d 1.864, I = 8
- 2θ 58.99, d 1.566, I = 7
- 2θ 63.95, d 1.456, I = 12
- 2θ 68.71, d 1.366, I = 8
- 2θ 71.61, d 1.318, I = 34
- 2θ 73.32, d 1.291, I = 9



No. 3
This entry pairs a crystal structure of LaDyCo4 with its theoretical X-ray powder pattern. Radiation: Cu Kα (λ = 1.5418 Å). Structure: a cell relaxed with PBE.

Structural model:
```
6
Lattice="3.8874 0.0000 0.0000 0.0000 4.1631 0.0000 0.0000 0.0000 6.7641" Properties=species:S:1:pos:R:3 pbc="T T T"
La 0.0000 0.0000 0.0000
Dy 1.9437 0.0000 3.3821
Co 0.0000 2.0816 2.2786
Co 0.0000 2.0816 4.4855
Co 1.9437 2.0816 1.1502
Co 1.9437 2.0816 5.6139
```

Most intense lines, 2θ = 10–80°, low angle first:
- 2θ 26.41, d 3.374, I = 16
- 2θ 34.21, d 2.621, I = 100
- 2θ 43.47, d 2.082, I = 14
- 2θ 46.57, d 1.950, I = 23
- 2θ 46.73, d 1.944, I = 11
- 2θ 58.95, d 1.567, I = 7
- 2θ 59.14, d 1.562, I = 13
- 2θ 65.59, d 1.423, I = 16
- 2θ 65.73, d 1.421, I = 8
- 2θ 73.84, d 1.283, I = 10
- 2θ 78.27, d 1.221, I = 6
- 2θ 78.40, d 1.220, I = 6